Computed XRD peak list of K2Mo4O13 for Cu Kα X-rays, from a crystal structure in Alexandria, relaxed with PBE+U.

Top 10 peaks for 2θ from 10° to 90°, low angle first:
- 2θ = 12.15°, d = 7.287 Å, intensity 34, (1 0 0)
- 2θ = 12.47°, d = 7.099 Å, intensity 100, (1 0 -1)
- 2θ = 24.43°, d = 3.644 Å, intensity 64, (2 0 0)
- 2θ = 25.59°, d = 3.481 Å, intensity 45, (1 -2 2)
- 2θ = 27.25°, d = 3.273 Å, intensity 27, (1 0 -3)
- 2θ = 28.19°, d = 3.166 Å, intensity 28, (-2 2 1)
- 2θ = 28.47°, d = 3.135 Å, intensity 21, (1 2 -2)
- 2θ = 29.50°, d = 3.028 Å, intensity 46, (0 2 1)
- 2θ = 30.60°, d = 2.922 Å, intensity 35, (2 0 -3)
- 2θ = 43.85°, d = 2.065 Å, intensity 27, (3 -3 2)

Structural model:
abc: 8.269 8.532 10.296
angles: 107.19 103.48 108.90
Sites, in units of the cell vectors:
1 K 0.181 0.232 0.307
2 K 0.239 0.784 0.430
3 K 0.761 0.216 0.570
4 K 0.819 0.768 0.693
5 Mo 0.273 0.206 0.710
6 Mo 0.279 0.608 0.730
7 Mo 0.318 0.509 0.052
8 Mo 0.334 0.910 0.063
9 Mo 0.666 0.090 0.937
10 Mo 0.682 0.491 0.948
11 Mo 0.721 0.392 0.270
12 Mo 0.727 0.794 0.290
13 O 0.093 0.650 0.659
14 O 0.098 0.992 0.650
15 O 0.142 0.350 0.662
16 O 0.160 0.945 0.964
17 O 0.187 0.290 0.911
18 O 0.216 0.639 0.947
19 O 0.221 0.513 0.185
20 O 0.303 0.946 0.230
21 O 0.362 0.185 0.570
22 O 0.397 0.620 0.610
23 O 0.451 0.863 0.883
24 O 0.461 0.514 0.863
25 O 0.476 0.216 0.855
26 O 0.524 0.784 0.145
27 O 0.539 0.486 0.137
28 O 0.549 0.137 0.117
29 O 0.603 0.380 0.390
30 O 0.638 0.815 0.430
31 O 0.697 0.054 0.770
32 O 0.779 0.487 0.815
33 O 0.784 0.361 0.053
34 O 0.813 0.710 0.089
35 O 0.840 0.055 0.036
36 O 0.858 0.650 0.338
37 O 0.902 0.008 0.350
38 O 0.907 0.350 0.341